[1]
Starting from a cell relaxed with GGA-PBE, the X-ray powder pattern of TmNi4Ge3 was computed for Cu Kα (λ = 1.5418 Å).
Lines closer than 0.1° are merged.

Largest 10 diffraction maxima, in order of rising 2θ, 2θ from 15° to 90°:
2θ (°)	I/Imax
31.56	48.2
33.65	45.3
33.78	28.3
37.38	34.3
38.38	74.6
40.90	100.0
43.98	56.4
44.21	66.6
45.59	73.3
47.14	32.5

Atomic structure:
a = 5.0412 Å, b = 3.9795 Å, c = 5.8494 Å
α = 90.00°, β = 96.90°, γ = 90.00°
Element x y z (fractional)
Tm1 0.0000 0.0000 0.0000
Ni1 0.0661 0.5000 0.6658
Ni2 0.3903 0.0000 0.6513
Ni3 0.5075 0.0000 0.1939
Ni4 0.8028 0.5000 0.2680
Ge1 0.3025 0.5000 0.3381
Ge2 0.5309 0.5000 0.8855
Ge3 0.8410 0.0000 0.5157

=====

[2]
Starting from a cell relaxed with GGA-PBE, the X-ray powder pattern of Tm3Ni4Ge was computed for Cu Kα (λ = 1.5418 Å).
Lines closer than 0.1° are merged.

Largest 10 diffraction maxima, in order of rising 2θ, 2θ from 15° to 90°:
2θ (°)	I/Imax
27.73	39.3
30.50	34.0
31.55	70.4
35.23	100.0
36.60	48.2
38.38	41.7
38.59	50.6
40.29	47.0
42.90	59.0
44.03	61.9

Atomic structure:
a = 5.1739 Å, b = 4.1134 Å, c = 6.5036 Å
α = 90.00°, β = 93.80°, γ = 90.00°
Element x y z (fractional)
Tm1 0.0000 0.0000 0.0000
Tm2 0.2143 0.0000 0.4949
Tm3 0.5037 0.5000 0.8661
Ni1 0.2455 0.5000 0.2215
Ni2 0.5395 0.0000 0.1864
Ni3 0.7242 0.0000 0.5849
Ni4 0.9817 0.5000 0.6942
Ge1 0.7485 0.5000 0.3376

=====

[3]
Starting from a cell relaxed with GGA-PBE, the X-ray powder pattern of Zn6Ni7Ge2 was computed for Cu Kα (λ = 1.5418 Å).
Lines closer than 0.1° are merged.

Largest 10 diffraction maxima, in order of rising 2θ, 2θ from 15° to 90°:
2θ (°)	I/Imax
21.81	2.7
25.63	2.1
31.03	1.9
33.90	1.0
38.25	1.2
40.67	0.9
44.46	100.0
64.69	15.2
73.48	0.7
81.88	30.0

Atomic structure:
a = 8.1506 Å, b = 8.1506 Å, c = 8.1506 Å
α = 60.00°, β = 60.00°, γ = 60.00°
Element x y z (fractional)
Zn1 0.0000 0.0000 0.0000
Zn2 0.0000 0.0000 0.5000
Zn3 0.0000 0.5000 0.0000
Zn4 0.2513 0.2513 0.2513
Zn5 0.2513 0.2513 0.7462
Zn6 0.2513 0.7462 0.2513
Zn7 0.2538 0.7487 0.7487
Zn8 0.5000 0.0000 0.0000
Zn9 0.7462 0.2513 0.2513
Zn10 0.7487 0.2538 0.7487
Zn11 0.7487 0.7487 0.2538
Zn12 0.7487 0.7487 0.7487
Ni1 0.1250 0.1250 0.1250
Ni2 0.1257 0.1257 0.6243
Ni3 0.1257 0.6243 0.1257
Ni4 0.1257 0.6243 0.6243
Ni5 0.3757 0.3757 0.8743
Ni6 0.3757 0.8743 0.3757
Ni7 0.3757 0.8743 0.8743
Ni8 0.6243 0.1257 0.1257
Ni9 0.6243 0.1257 0.6243
Ni10 0.6243 0.6243 0.1257
Ni11 0.8743 0.3757 0.3757
Ni12 0.8743 0.3757 0.8743
Ni13 0.8743 0.8743 0.3757
Ni14 0.8750 0.8750 0.8750
Ge1 0.0000 0.5000 0.5000
Ge2 0.5000 0.0000 0.5000
Ge3 0.5000 0.5000 0.0000
Ge4 0.5000 0.5000 0.5000